Entry 1:
Diffraction record for Li6RuN4. The X-ray diffraction stick pattern is theoretical, not measured: it uses a cell relaxed with GGA-PBE and Cu Kα, 1.54184 Å.
Kinematic intensities with the Lorentz-polarization factor, no thermal factor.

```
data_Li6RuN4
_chemical_formula_sum 'Li12 Ru2 N8'
_cell_length_a 6.674
_cell_length_b 6.674
_cell_length_c 4.930
_cell_angle_alpha 90.00
_cell_angle_beta 90.00
_cell_angle_gamma 90.00
_space_group_name_H-M_alt 'P 42/n m c'
_space_group_IT_number 137
loop_
_space_group_symop_operation_xyz
'x,y,z'
'-x,-y,-z'
'-y+1/2,x,z+1/2'
'y+1/2,-x,-z+1/2'
'-x+1/2,-y+1/2,z'
'x+1/2,y+1/2,-z'
'y,-x+1/2,z+1/2'
'-y,x+1/2,-z+1/2'
'x+1/2,-y,-z'
'-x+1/2,y,z'
'-y,-x,-z+1/2'
'y,x,z+1/2'
'-x,y+1/2,-z'
'x,-y+1/2,z'
'y+1/2,x+1/2,-z+1/2'
'-y+1/2,-x+1/2,z+1/2'
loop_
_atom_site_label
_atom_site_type_symbol
_atom_site_fract_x
_atom_site_fract_y
_atom_site_fract_z
Li1 Li 0.036 0.536 0.250
Li2 Li 0.250 0.250 0.153
Ru1 Ru 0.250 0.750 0.750
N1 N 0.004 0.750 0.559
```

Most intense lines, 10 to 90 degrees two-theta, by intensity:
two_theta, I (rel.), index
22.42, 100, 1 0 1
18.80, 57, 1 1 0
35.15, 49, 2 1 1
26.72, 24, 2 0 0
44.69, 20, 3 0 1
53.78, 18, 2 2 2
41.32, 16, 1 1 2
64.76, 13, 2 1 3
60.17, 12, 4 1 1
42.85, 11, 3 1 0
57.49, 11, 3 1 2
52.83, 11, 3 2 1

Entry 2:
Diffraction record for Mg7Si4. The X-ray diffraction stick pattern is theoretical, not measured: it uses a cell relaxed with GGA-PBE and Cu Kα, 1.54184 Å.
Kinematic intensities with the Lorentz-polarization factor, no thermal factor.

```
data_Mg7Si4
_chemical_formula_sum 'Mg14 Si8'
_cell_length_a 5.409
_cell_length_b 6.147
_cell_length_c 13.716
_cell_angle_alpha 80.13
_cell_angle_beta 81.83
_cell_angle_gamma 80.50
_space_group_name_H-M_alt 'P 1'
_space_group_IT_number 1
_space_group_name_Hall 'P 1'
loop_
_atom_site_label
_atom_site_type_symbol
_atom_site_fract_x
_atom_site_fract_y
_atom_site_fract_z
Mg1 Mg 0.000 0.000 0.000
Mg2 Mg 0.013 0.332 0.320
Mg3 Mg 0.040 0.626 0.598
Mg4 Mg 0.153 0.482 0.942
Mg5 Mg 0.271 0.255 0.747
Mg6 Mg 0.321 0.896 0.394
Mg7 Mg 0.384 0.302 0.478
Mg8 Mg 0.399 0.131 0.142
Mg9 Mg 0.485 0.843 0.634
Mg10 Mg 0.500 0.549 0.253
Mg11 Mg 0.595 0.657 0.025
Mg12 Mg 0.725 0.444 0.815
Mg13 Mg 0.878 0.901 0.251
Mg14 Mg 0.895 0.907 0.788
Si1 Si 0.112 0.610 0.130
Si2 Si 0.391 0.829 0.842
Si3 Si 0.518 0.098 0.932
Si4 Si 0.667 0.379 0.620
Si5 Si 0.728 0.592 0.445
Si6 Si 0.792 0.969 0.449
Si7 Si 0.872 0.304 0.135
Si8 Si 0.999 0.069 0.587
```

Most intense lines, 10 to 90 degrees two-theta, by intensity:
two_theta, I (rel.), index
37.37, 100, 1 2 -2
35.68, 71, 1 0 5
36.67, 70, -1 2 1
34.98, 66, 2 1 0
36.30, 65, 1 -1 4
41.62, 62, 2 0 -3
35.87, 57, -1 1 4
37.58, 52, 1 2 4
35.18, 52, 2 1 2
34.48, 49, 0 1 5
34.58, 42, 0 2 -2
40.32, 37, 0 0 6

Entry 3:
Diffraction record for TlCSN. The X-ray diffraction stick pattern is theoretical, not measured: it uses a cell relaxed with GGA-PBE and Cu Kα, 1.54184 Å.
Kinematic intensities with the Lorentz-polarization factor, no thermal factor.

```
data_TlCSN
_chemical_formula_sum 'Tl4 C4 S4 N4'
_cell_length_a 6.894
_cell_length_b 6.801
_cell_length_c 7.851
_cell_angle_alpha 90.00
_cell_angle_beta 90.00
_cell_angle_gamma 90.00
_space_group_name_H-M_alt 'P b c m'
_space_group_IT_number 57
_space_group_name_Hall '-P 2c 2b'
loop_
_atom_site_label
_atom_site_type_symbol
_atom_site_fract_x
_atom_site_fract_y
_atom_site_fract_z
Tl1 Tl 0.210 0.250 0.000
C1 C 0.233 0.714 0.250
S1 S 0.394 0.610 0.750
N1 N 0.115 0.586 0.250
```

Most intense lines, 10 to 90 degrees two-theta, by intensity:
two_theta, I (rel.), index
29.29, 100, 1 1 2
18.32, 78, 1 1 0
26.19, 31, 0 2 0
37.14, 26, 2 2 0
34.91, 25, 0 2 2
25.85, 21, 2 0 0
34.63, 19, 2 0 2
43.94, 18, 2 2 2
22.65, 17, 0 0 2
41.95, 17, 1 3 0
48.20, 16, 1 3 2
47.77, 14, 3 2 0

Entry 4:
Diffraction record for Ba3Ru3N5. The X-ray diffraction stick pattern is theoretical, not measured: it uses a cell relaxed with GGA-PBE and Cu Kα, 1.54184 Å.
Kinematic intensities with the Lorentz-polarization factor, no thermal factor.

```
data_Ba3Ru3N5
_chemical_formula_sum 'Ba6 Ru6 N10'
_cell_length_a 6.121
_cell_length_b 8.133
_cell_length_c 9.158
_cell_angle_alpha 104.85
_cell_angle_beta 104.82
_cell_angle_gamma 103.04
_space_group_name_H-M_alt 'P -1'
_space_group_IT_number 2
_space_group_name_Hall '-P 1'
loop_
_atom_site_label
_atom_site_type_symbol
_atom_site_fract_x
_atom_site_fract_y
_atom_site_fract_z
Ba1 Ba 0.155 0.363 0.379
Ba2 Ba 0.219 0.212 0.731
Ba3 Ba 0.257 0.927 0.112
Ru1 Ru 0.194 0.485 0.084
Ru2 Ru 0.393 0.835 0.489
Ru3 Ru 0.423 0.660 0.830
N1 N 0.162 0.562 0.895
N2 N 0.230 0.239 0.055
N3 N 0.255 0.027 0.428
N4 N 0.331 0.663 0.289
N5 N 0.356 0.728 0.648
```

Most intense lines, 10 to 90 degrees two-theta, by intensity:
two_theta, I (rel.), index
30.75, 100, 1 0 -3
29.27, 67, 0 2 1
29.83, 66, -2 1 1
28.09, 64, 1 -1 2
30.88, 54, 1 2 -2
37.54, 29, 2 1 0
37.04, 28, 1 -3 2
34.13, 26, 1 -3 1
31.83, 25, 2 0 0
27.52, 23, -1 2 1
30.28, 19, 2 -1 0
50.19, 17, 3 -2 1

Entry 5:
Diffraction record for MgCo6Ge6. The X-ray diffraction stick pattern is theoretical, not measured: it uses a cell relaxed with GGA-PBE and Cu Kα, 1.54184 Å.
Kinematic intensities with the Lorentz-polarization factor, no thermal factor.

```
data_MgCo6Ge6
_chemical_formula_sum 'Mg1 Co6 Ge6'
_cell_length_a 5.0718
_cell_length_b 5.0718
_cell_length_c 7.7180
_cell_angle_alpha 90.00
_cell_angle_beta 90.00
_cell_angle_gamma 120.00
_space_group_name_H-M_alt 'P 6/m m m'
_space_group_IT_number 191
_space_group_name_Hall '-P 6 2'
loop_
_atom_site_label
_atom_site_type_symbol
_atom_site_fract_x
_atom_site_fract_y
_atom_site_fract_z
Mg1 Mg 0.0000 0.0000 0.0000
Co1 Co 0.0000 0.5000 0.2499
Ge1 Ge 0.0000 0.0000 0.3375
Ge2 Ge 0.3333 0.6667 0.0000
Ge3 Ge 0.3333 0.6667 0.5000
```

Most intense lines, 10 to 90 degrees two-theta, by intensity:
two_theta, I (rel.), index
47.64, 100, 2 0 2
42.66, 64, 1 1 2
35.40, 47, 1 1 0
41.10, 39, 2 0 0
51.75, 28, 1 0 4
74.89, 28, 2 2 0
84.44, 21, 1 1 6
47.10, 20, 0 0 4
75.56, 17, 2 1 4
40.64, 16, 1 0 3
20.22, 15, 1 0 0
68.55, 15, 3 0 2

Entry 6:
Diffraction record for Mn3Ga4Ni9. The X-ray diffraction stick pattern is theoretical, not measured: it uses a cell relaxed with GGA-PBE and Cu Kα, 1.54184 Å.
Kinematic intensities with the Lorentz-polarization factor, no thermal factor.

```
data_Mn3Ga4Ni9
_chemical_formula_sum 'Mn3 Ga4 Ni9'
_cell_length_a 5.293
_cell_length_b 5.293
_cell_length_c 6.770
_cell_angle_alpha 90.00
_cell_angle_beta 90.00
_cell_angle_gamma 90.00
_space_group_name_H-M_alt 'P 4/m m m'
_space_group_IT_number 123
_space_group_name_Hall '-P 4 2'
loop_
_atom_site_label
_atom_site_type_symbol
_atom_site_fract_x
_atom_site_fract_y
_atom_site_fract_z
Mn1 Mn 0.000 0.000 0.000
Mn2 Mn 0.000 0.500 0.500
Ga1 Ga 0.000 0.000 0.500
Ga2 Ga 0.000 0.500 0.000
Ga3 Ga 0.500 0.500 0.500
Ni1 Ni 0.248 0.248 0.250
Ni2 Ni 0.500 0.500 0.000
```

Most intense lines, 10 to 90 degrees two-theta, by intensity:
two_theta, I (rel.), index
43.40, 100, 2 0 2
48.65, 35, 2 2 0
87.26, 24, 4 2 2
75.78, 17, 2 2 4
54.19, 12, 0 0 4
71.26, 10, 4 0 0
27.22, 1, 1 1 1

Please write out number 2 again, unchanged.
Diffraction record for Mg7Si4. The X-ray diffraction stick pattern is theoretical, not measured: it uses a cell relaxed with GGA-PBE and Cu Kα, 1.54184 Å.
Kinematic intensities with the Lorentz-polarization factor, no thermal factor.

```
data_Mg7Si4
_chemical_formula_sum 'Mg14 Si8'
_cell_length_a 5.409
_cell_length_b 6.147
_cell_length_c 13.716
_cell_angle_alpha 80.13
_cell_angle_beta 81.83
_cell_angle_gamma 80.50
_space_group_name_H-M_alt 'P 1'
_space_group_IT_number 1
_space_group_name_Hall 'P 1'
loop_
_atom_site_label
_atom_site_type_symbol
_atom_site_fract_x
_atom_site_fract_y
_atom_site_fract_z
Mg1 Mg 0.000 0.000 0.000
Mg2 Mg 0.013 0.332 0.320
Mg3 Mg 0.040 0.626 0.598
Mg4 Mg 0.153 0.482 0.942
Mg5 Mg 0.271 0.255 0.747
Mg6 Mg 0.321 0.896 0.394
Mg7 Mg 0.384 0.302 0.478
Mg8 Mg 0.399 0.131 0.142
Mg9 Mg 0.485 0.843 0.634
Mg10 Mg 0.500 0.549 0.253
Mg11 Mg 0.595 0.657 0.025
Mg12 Mg 0.725 0.444 0.815
Mg13 Mg 0.878 0.901 0.251
Mg14 Mg 0.895 0.907 0.788
Si1 Si 0.112 0.610 0.130
Si2 Si 0.391 0.829 0.842
Si3 Si 0.518 0.098 0.932
Si4 Si 0.667 0.379 0.620
Si5 Si 0.728 0.592 0.445
Si6 Si 0.792 0.969 0.449
Si7 Si 0.872 0.304 0.135
Si8 Si 0.999 0.069 0.587
```

Most intense lines, 10 to 90 degrees two-theta, by intensity:
two_theta, I (rel.), index
37.37, 100, 1 2 -2
35.68, 71, 1 0 5
36.67, 70, -1 2 1
34.98, 66, 2 1 0
36.30, 65, 1 -1 4
41.62, 62, 2 0 -3
35.87, 57, -1 1 4
37.58, 52, 1 2 4
35.18, 52, 2 1 2
34.48, 49, 0 1 5
34.58, 42, 0 2 -2
40.32, 37, 0 0 6